Computed PXRD pattern
Compound: Ca2CoPt2
Radiation: Cu Kα X-rays
Structure: a structure optimized by DFT (PBE)

Largest 8 diffraction maxima, sorted by position, 2θ from 15° to 90°:
- (0 0 1), 19.75°, I = 58
- (2 1 0), 29.78°, I = 34
- (2 1 1), 35.99°, I = 100
- (0 0 2), 40.12°, I = 21
- (3 1 0), 42.62°, I = 25
- (3 1 1), 47.38°, I = 21
- (2 1 2), 50.75°, I = 17
- (3 1 2), 59.96°, I = 18

Cell and atoms:
```
Ca2CoPt2
1.0
6.7088 0.0000 0.0000
0.0000 6.7088 0.0000
0.0000 0.0000 4.4951
Ca Co Pt
4 2 4
Direct
0.1737 0.3263 0.0000
0.3263 0.8263 0.0000
0.6737 0.1737 0.0000
0.8263 0.6737 0.0000
0.0000 0.0000 0.5000
0.5000 0.5000 0.5000
0.1413 0.6413 0.5000
0.3587 0.1413 0.5000
0.6413 0.8587 0.5000
0.8587 0.3587 0.5000
```